Starting from a cell relaxed with PBE+U, the X-ray powder pattern of AlVP2CNO9 was computed for a wavelength of 1.5418 Å.

Crystal structure
```
data_AlVP2CNO9
_cell_length_a 8.0040
_cell_length_b 8.3738
_cell_length_c 8.6470
_cell_angle_alpha 68.45
_cell_angle_beta 64.87
_cell_angle_gamma 85.00
_symmetry_space_group_name_H-M 'P -1'
_symmetry_Int_Tables_number 2
_symmetry_space_group_name_Hall '-P 1'
loop_
_atom_site_label
_atom_site_type_symbol
_atom_site_fract_x
_atom_site_fract_y
_atom_site_fract_z
_atom_site_occupancy
Al1 Al 0.0756 0.2647 0.4564 1
V1 V 0.4509 0.2589 0.8046 1
P1 P 0.2304 0.4942 0.5865 1
P2 P 0.2402 0.0241 0.2221 1
C1 C 0.3510 0.8794 0.7683 1
N1 N 0.2487 0.8922 0.6998 1
O1 O 0.0457 0.5765 0.6441 1
O2 O 0.0851 0.8787 0.3326 1
O3 O 0.2079 0.1606 0.3080 1
O4 O 0.2252 0.3653 0.4993 1
O5 O 0.2565 0.1069 0.0235 1
O6 O 0.2647 0.3991 0.7606 1
O7 O 0.3905 0.6361 0.4496 1
O8 O 0.4282 0.9479 0.2146 1
O9 O 0.4569 0.6566 0.1092 1
```

Principal peaks in the range 10° ≤ 2θ ≤ 90°, by angle:
| hkl | two_theta | I (rel.) |
| --- | --- | --- |
| 0 0 1 | 12.1 | 37 |
| 1 0 1 | 13.1 | 42 |
| 0 1 1 | 13.3 | 85 |
| 1 1 1 | 14.9 | 100 |
| 1 2 2 | 25.6 | 43 |
| 2 -1 1 | 26.3 | 78 |